# CsLi2AuI4
Calculated powder diffractogram, Cu Kα, 1.54184 Å. Input: DFT lattice parameters and positions (GGA-PBE).
Intensities are scaled so that the largest is 100.

Peak list (6 most intense, 5 to 70 degrees two-theta, in order of rising 2θ)
2θ 16.4, I = 58.5; 2θ 23.1, I = 100.0; 2θ 28.4, I = 33.7; 2θ 28.6, I = 32.3; 2θ 33.2, I = 35.0; 2θ 40.6, I = 32.8

Atomic structure:
a = 7.6024 Å, b = 7.6779 Å, c = 10.9613 Å
α = 90.00°, β = 90.00°, γ = 90.00°
Atoms (fractional coordinates):
Cs 0.0000 0.0000 0.0000
Cs 0.5000 0.5000 0.5000
Li 0.0000 0.5000 0.2493
Li 0.0000 0.5000 0.7507
Li 0.5000 0.0000 0.2507
Li 0.5000 0.0000 0.7493
Au 0.0000 0.0000 0.5000
Au 0.5000 0.5000 0.0000
I 0.1976 0.2012 0.6685
I 0.1976 0.7988 0.3315
I 0.3024 0.2988 0.1685
I 0.3024 0.7012 0.8315
I 0.6976 0.2988 0.8315
I 0.6976 0.7012 0.1685
I 0.8024 0.2012 0.3315
I 0.8024 0.7988 0.6685

=====

# CePrCoPt
Calculated powder diffractogram, Cu Kα, 1.54184 Å. Input: DFT lattice parameters and positions (GGA-PBE).
Intensities are scaled so that the largest is 100.

Peak list (6 most intense, 5 to 70 degrees two-theta, in order of rising 2θ)
2θ 21.8, I = 13.4; 2θ 36.0, I = 100.0; 2θ 42.4, I = 7.5; 2θ 51.8, I = 17.6; 2θ 56.8, I = 3.4; 2θ 64.6, I = 35.9

Atomic structure:
a = 7.0646 Å, b = 7.0646 Å, c = 7.0646 Å
α = 90.00°, β = 90.00°, γ = 90.00°
Atoms (fractional coordinates):
Ce 0.0000 0.0000 0.0000
Ce 0.0000 0.5000 0.5000
Ce 0.5000 0.0000 0.5000
Ce 0.5000 0.5000 0.0000
Pr 0.0000 0.0000 0.5000
Pr 0.0000 0.5000 0.0000
Pr 0.5000 0.0000 0.0000
Pr 0.5000 0.5000 0.5000
Co 0.2500 0.2500 0.7500
Co 0.2500 0.7500 0.2500
Co 0.7500 0.2500 0.2500
Co 0.7500 0.7500 0.7500
Pt 0.2500 0.2500 0.2500
Pt 0.2500 0.7500 0.7500
Pt 0.7500 0.2500 0.7500
Pt 0.7500 0.7500 0.2500

=====

# Sc4CoRh3
Calculated powder diffractogram, Cu Kα, 1.54184 Å. Input: DFT lattice parameters and positions (GGA-PBE).
Intensities are scaled so that the largest is 100.

Peak list (6 most intense, 5 to 70 degrees two-theta, in order of rising 2θ)
2θ 27.8, I = 16.9; 2θ 39.8, I = 100.0; 2θ 49.3, I = 4.9; 2θ 57.5, I = 10.7; 2θ 57.6, I = 5.3; 2θ 65.0, I = 4.4

Atomic structure:
a = 3.1984 Å, b = 4.5388 Å, c = 9.0642 Å
α = 90.00°, β = 90.00°, γ = 90.00°
Atoms (fractional coordinates):
Sc 0.0000 0.0000 0.0000
Sc 0.0000 0.0000 0.5000
Sc 0.0000 0.5000 0.2429
Sc 0.0000 0.5000 0.7571
Co 0.5000 0.5000 0.0000
Rh 0.5000 0.0000 0.2487
Rh 0.5000 0.0000 0.7513
Rh 0.5000 0.5000 0.5000

=====

# Sm3DyRh2
Calculated powder diffractogram, Cu Kα, 1.54184 Å. Input: DFT lattice parameters and positions (GGA-PBE).
Intensities are scaled so that the largest is 100.

Peak list (6 most intense, 5 to 70 degrees two-theta, in order of rising 2θ)
2θ 16.5, I = 21.3; 2θ 26.5, I = 63.6; 2θ 32.7, I = 100.0; 2θ 32.8, I = 44.5; 2θ 41.8, I = 56.9; 2θ 42.3, I = 35.4

Atomic structure:
a = 8.4745 Å, b = 8.4745 Å, c = 11.0315 Å
α = 116.21°, β = 116.21°, γ = 29.22°
Atoms (fractional coordinates):
Sm 0.0534 0.0534 0.2171
Sm 0.2117 0.2117 0.5951
Sm 0.3338 0.3338 0.9708
Sm 0.6662 0.6662 0.0292
Sm 0.7883 0.7883 0.4049
Sm 0.9466 0.9466 0.7829
Dy 0.4264 0.4264 0.3325
Dy 0.5736 0.5736 0.6675
Rh 0.1371 0.1371 0.8433
Rh 0.3833 0.3833 0.5827
Rh 0.6167 0.6167 0.4173
Rh 0.8629 0.8629 0.1567

=====

# Cu2RhI6
Calculated powder diffractogram, Cu Kα, 1.54184 Å. Input: DFT lattice parameters and positions (GGA-PBE).
Intensities are scaled so that the largest is 100.

Peak list (6 most intense, 5 to 70 degrees two-theta, in order of rising 2θ)
2θ 12.8, I = 88.0; 2θ 26.5, I = 58.8; 2θ 29.4, I = 100.0; 2θ 37.6, I = 51.1; 2θ 43.8, I = 38.9; 2θ 46.5, I = 64.9

Atomic structure:
a = 8.3689 Å, b = 8.3689 Å, c = 9.6437 Å
α = 103.59°, β = 103.59°, γ = 27.00°
Atoms (fractional coordinates):
Cu 0.1768 0.1768 0.3638
Cu 0.8232 0.8232 0.6362
Rh 0.5000 0.5000 0.0000
I 0.0416 0.0416 0.8370
I 0.3386 0.3386 0.8396
I 0.3525 0.3525 0.4559
I 0.6475 0.6475 0.5441
I 0.6614 0.6614 0.1604
I 0.9584 0.9584 0.1630

=====

# La3ScTl3S8
Calculated powder diffractogram, Cu Kα, 1.54184 Å. Input: DFT lattice parameters and positions (GGA-PBE).
Intensities are scaled so that the largest is 100.

Peak list (6 most intense, 5 to 70 degrees two-theta, in order of rising 2θ)
2θ 14.7, I = 24.9; 2θ 24.5, I = 23.6; 2θ 25.9, I = 51.3; 2θ 29.6, I = 100.0; 2θ 41.5, I = 35.9; 2θ 43.3, I = 37.6

Atomic structure:
a = 8.7222 Å, b = 8.7222 Å, c = 8.7222 Å
α = 57.26°, β = 57.26°, γ = 57.26°
Atoms (fractional coordinates):
La 0.0000 0.5000 0.5000
La 0.5000 0.0000 0.5000
La 0.5000 0.5000 0.0000
Sc 0.0000 0.0000 0.0000
Tl 0.0000 0.0000 0.5000
Tl 0.0000 0.5000 0.0000
Tl 0.5000 0.0000 0.0000
S 0.2190 0.2190 0.7602
S 0.2190 0.7602 0.2190
S 0.2398 0.7810 0.7810
S 0.2627 0.2627 0.2627
S 0.7373 0.7373 0.7373
S 0.7602 0.2190 0.2190
S 0.7810 0.2398 0.7810
S 0.7810 0.7810 0.2398

=====

# ErSc2AgO
Calculated powder diffractogram, Cu Kα, 1.54184 Å. Input: DFT lattice parameters and positions (GGA-PBE).
Intensities are scaled so that the largest is 100.

Peak list (6 most intense, 5 to 70 degrees two-theta, in order of rising 2θ)
2θ 18.9, I = 24.8; 2θ 28.5, I = 27.8; 2θ 34.4, I = 100.0; 2θ 38.3, I = 22.2; 2θ 40.8, I = 37.0; 2θ 57.2, I = 26.2

Atomic structure:
a = 4.4274 Å, b = 4.4274 Å, c = 4.7023 Å
α = 90.00°, β = 90.00°, γ = 90.00°
Atoms (fractional coordinates):
Er 0.0000 0.0000 0.0000
Sc 0.0000 0.5000 0.5000
Sc 0.5000 0.0000 0.5000
Ag 0.5000 0.5000 0.0000
O 0.0000 0.0000 0.5000

=====

# Pu2Zn16Ge
Calculated powder diffractogram, Cu Kα, 1.54184 Å. Input: DFT lattice parameters and positions (GGA-PBE).
Intensities are scaled so that the largest is 100.

Peak list (6 most intense, 5 to 70 degrees two-theta, in order of rising 2θ)
2θ 28.3, I = 42.4; 2θ 34.2, I = 45.3; 2θ 39.7, I = 54.0; 2θ 40.1, I = 100.0; 2θ 41.3, I = 44.2; 2θ 58.6, I = 19.1

Atomic structure:
a = 6.8292 Å, b = 6.8292 Å, c = 6.8292 Å
α = 83.46°, β = 83.46°, γ = 83.46°
Atoms (fractional coordinates):
Pu 0.0000 0.0000 0.0000
Pu 0.3362 0.3362 0.3362
Zn 0.0170 0.0170 0.5028
Zn 0.0170 0.5028 0.0170
Zn 0.1577 0.6726 0.6726
Zn 0.3136 0.3136 0.8374
Zn 0.3136 0.8374 0.3136
Zn 0.3623 0.6670 0.9728
Zn 0.3623 0.9728 0.6670
Zn 0.5028 0.0170 0.0170
Zn 0.6670 0.3623 0.9728
Zn 0.6670 0.9728 0.3623
Zn 0.6726 0.1577 0.6726
Zn 0.6726 0.6726 0.1577
Zn 0.7620 0.7620 0.7620
Zn 0.8374 0.3136 0.3136
Zn 0.9728 0.3623 0.6670
Zn 0.9728 0.6670 0.3623
Ge 0.5641 0.5641 0.5641

=====

# KNd2P2N6
Calculated powder diffractogram, Cu Kα, 1.54184 Å. Input: DFT lattice parameters and positions (GGA-PBE).
Intensities are scaled so that the largest is 100.

Peak list (6 most intense, 5 to 70 degrees two-theta, in order of rising 2θ)
2θ 16.2, I = 42.2; 2θ 17.0, I = 47.8; 2θ 25.4, I = 33.0; 2θ 26.9, I = 39.5; 2θ 30.7, I = 100.0; 2θ 32.0, I = 25.9

Atomic structure:
a = 6.5225 Å, b = 6.5269 Å, c = 6.6473 Å
α = 64.34°, β = 64.40°, γ = 61.01°
Atoms (fractional coordinates):
K 0.0000 0.0000 0.0000
Nd 0.3217 0.3219 0.3054
Nd 0.6783 0.6781 0.6946
P 0.3425 0.3414 0.7484
P 0.6575 0.6586 0.2516
N 0.0980 0.4922 0.6738
N 0.4303 0.4295 0.8721
N 0.4947 0.0978 0.6725
N 0.5053 0.9022 0.3275
N 0.5697 0.5705 0.1279
N 0.9020 0.5078 0.3262

=====

# La2CoSi3
Calculated powder diffractogram, Cu Kα, 1.54184 Å. Input: DFT lattice parameters and positions (GGA-PBE).
Intensities are scaled so that the largest is 100.

Peak list (6 most intense, 5 to 70 degrees two-theta, in order of rising 2θ)
2θ 25.2, I = 31.4; 2θ 32.6, I = 100.0; 2θ 41.5, I = 12.5; 2θ 44.4, I = 20.5; 2θ 56.1, I = 13.9; 2θ 62.4, I = 14.5

Atomic structure:
a = 8.2932 Å, b = 8.1617 Å, c = 5.9715 Å
α = 69.90°, β = 67.55°, γ = 42.55°
Atoms (fractional coordinates):
La 0.2477 0.7523 0.2477
La 0.2500 0.2500 0.2500
La 0.7500 0.7500 0.7500
La 0.7523 0.2477 0.7523
Co 0.1662 0.1662 0.8338
Co 0.8338 0.8338 0.1662
Si 0.1582 0.6704 0.8418
Si 0.3286 0.3286 0.6714
Si 0.3296 0.8418 0.6704
Si 0.6704 0.1582 0.3296
Si 0.6714 0.6714 0.3286
Si 0.8418 0.3296 0.1582

=====

# Ni13Mo2
Calculated powder diffractogram, Cu Kα, 1.54184 Å. Input: DFT lattice parameters and positions (GGA-PBE).
Intensities are scaled so that the largest is 100.

Peak list (6 most intense, 5 to 70 degrees two-theta, in order of rising 2θ)
2θ 16.9, I = 29.2; 2θ 43.9, I = 100.0; 2θ 44.8, I = 18.4; 2θ 48.8, I = 49.8; 2θ 58.1, I = 13.0; 2θ 59.3, I = 19.4

Atomic structure:
a = 6.9685 Å, b = 6.9685 Å, c = 6.9685 Å
α = 54.18°, β = 54.18°, γ = 54.18°
Atoms (fractional coordinates):
Ni 0.0000 0.0000 0.0000
Ni 0.1162 0.1162 0.5065
Ni 0.1162 0.5065 0.1162
Ni 0.2554 0.2554 0.6296
Ni 0.2554 0.6296 0.2554
Ni 0.3704 0.7446 0.7446
Ni 0.4935 0.8838 0.8838
Ni 0.5065 0.1162 0.1162
Ni 0.6296 0.2554 0.2554
Ni 0.7446 0.3704 0.7446
Ni 0.7446 0.7446 0.3704
Ni 0.8838 0.4935 0.8838
Ni 0.8838 0.8838 0.4935
Mo 0.1380 0.1380 0.1380
Mo 0.8620 0.8620 0.8620

=====

# Dy4AgBi
Calculated powder diffractogram, Cu Kα, 1.54184 Å. Input: DFT lattice parameters and positions (GGA-PBE).
Intensities are scaled so that the largest is 100.

Peak list (6 most intense, 5 to 70 degrees two-theta, in order of rising 2θ)
2θ 8.6, I = 33.4; 2θ 29.1, I = 33.0; 2θ 32.0, I = 73.5; 2θ 32.9, I = 37.7; 2θ 34.4, I = 89.8; 2θ 34.8, I = 100.0

Atomic structure:
a = 10.6917 Å, b = 10.6917 Å, c = 6.4211 Å
α = 90.00°, β = 90.00°, γ = 149.71°
Atoms (fractional coordinates):
Dy 0.0563 0.9437 0.7500
Dy 0.2063 0.7937 0.5026
Dy 0.2063 0.7937 0.9974
Dy 0.3786 0.6214 0.7500
Dy 0.6214 0.3786 0.2500
Dy 0.7937 0.2063 0.0026
Dy 0.7937 0.2063 0.4974
Dy 0.9437 0.0563 0.2500
Ag 0.0809 0.9191 0.2500
Ag 0.9191 0.0809 0.7500
Bi 0.3515 0.6485 0.2500
Bi 0.6485 0.3515 0.7500

=====

# Na3TbF6
Calculated powder diffractogram, Cu Kα, 1.54184 Å. Input: DFT lattice parameters and positions (GGA-PBE).
Intensities are scaled so that the largest is 100.

Peak list (6 most intense, 5 to 70 degrees two-theta, in order of rising 2θ)
2θ 15.2, I = 64.6; 2θ 16.3, I = 100.0; 2θ 23.7, I = 43.7; 2θ 26.7, I = 26.4; 2θ 30.9, I = 62.3; 2θ 54.6, I = 41.8

Atomic structure:
a = 6.1317 Å, b = 11.6630 Å, c = 3.9710 Å
α = 90.00°, β = 90.00°, γ = 90.00°
Atoms (fractional coordinates):
Na 0.0000 0.0000 0.0000
Na 0.0625 0.2401 0.5000
Na 0.4375 0.7401 0.0000
Na 0.5000 0.5000 0.5000
Na 0.5625 0.2599 0.0000
Na 0.9375 0.7599 0.5000
Tb 0.0000 0.5000 0.0000
Tb 0.5000 0.0000 0.5000
F 0.0655 0.6975 0.0000
F 0.1654 0.5610 0.5000
F 0.1669 0.9160 0.5000
F 0.3331 0.4160 0.0000
F 0.3346 0.0610 0.0000
F 0.4345 0.1975 0.5000
F 0.5655 0.8025 0.5000
F 0.6654 0.9390 0.0000
F 0.6669 0.5840 0.0000
F 0.8331 0.0840 0.5000
F 0.8346 0.4390 0.5000
F 0.9345 0.3025 0.0000